For AgMoAuF6, a PBE+U-relaxed structure gives the computed PXRD pattern in this record (a wavelength of 1.5418 Å).

Atomic structure:
a b c (Å): 6.1152 6.1152 8.9287
angles (deg): 90.00 90.00 120.00
Space group P-31c (No. 163)
Inequivalent atoms, fractional coordinates:
Ag1 0.3333 0.6667 0.2500 (multiplicity 2)
Mo1 0.3333 0.6667 0.7500 (multiplicity 2)
Au1 0.0000 0.0000 0.0000 (multiplicity 2)
F1 0.0531 0.3866 0.6275 (multiplicity 12)

Most intense lines, 2θ = 10–90°, by intensity:
(hkl), 2θ/deg, I/Imax
1 0 2, 26.11, 100
1 1 0, 29.21, 52
1 1 4, 50.63, 36
2 1 2, 49.93, 34
2 0 2, 39.57, 33
3 0 0, 51.79, 19
4 -1 2, 67.08, 14
4 -2 4, 75.35, 11
3 -1 6, 80.41, 9
3 0 4, 67.66, 9